The following is a theoretical powder X-ray diffraction pattern of Li13Ir2. It was derived from a crystal structure in Alexandria, relaxed with PBE, using Cu Ka.
Intensities are scaled so that the largest is 100.

Main lines, sorted by position (15° ≤ 2θ ≤ 90°):
Position (°2θ), d_spacing, I (rel.)
17.54, 5.056, 100.0
23.98, 3.711, 43.5
25.81, 3.452, 40.4
31.38, 2.851, 24.1
35.51, 2.528, 18.7
38.66, 2.329, 26.8
41.04, 2.199, 36.8
44.42, 2.040, 22.8
54.45, 1.685, 10.3
56.30, 1.634, 19.0

Atomic structure:
Cell: 7.465 7.465 7.465 Å, 55.10 55.10 55.10°
Element x y z (fractional)
Li 0.000 0.000 0.000
Li 0.107 0.730 0.730
Li 0.133 0.512 0.512
Li 0.270 0.270 0.893
Li 0.270 0.893 0.270
Li 0.488 0.488 0.867
Li 0.488 0.867 0.488
Li 0.512 0.133 0.512
Li 0.512 0.512 0.133
Li 0.730 0.107 0.730
Li 0.730 0.730 0.107
Li 0.867 0.488 0.488
Li 0.893 0.270 0.270
Ir 0.256 0.256 0.256
Ir 0.744 0.744 0.744